Structure and calculated powder XRD pattern of Y4FeAuN2 (a DFT-relaxed cell (PBE, OQMD); Cu Ka).
Kinematic intensities with the Lorentz-polarization factor, no thermal factor.

Structural model:
Cell lengths 3.4860, 3.4860, 14.0566 Å; angles 90.00, 90.00, 120.00 degrees
Space group P-6m2 (No. 187)
Symmetry-distinct sites (fractional):
Y1 0.0000 0.0000 0.1399 [2 per cell]
Y2 0.3333 0.6667 0.3375 [2 per cell]
Fe1 0.3333 0.6667 0.0000 [1 per cell]
Au1 0.0000 0.0000 0.5000 [1 per cell]
N1 0.6667 0.3333 0.2452 [2 per cell]

Main lines, in order of rising 2θ (2θ = 5–70°):
2θ 6.3, rel. 35.2, hkl 0 0 1
2θ 29.6, rel. 27.8, hkl 1 0 0
2θ 32.3, rel. 17.0, hkl 1 0 2
2θ 35.4, rel. 100.0, hkl 1 0 3
2θ 38.4, rel. 12.6, hkl 0 0 6
2θ 44.0, rel. 12.8, hkl 1 0 5
2θ 49.2, rel. 12.4, hkl 1 0 6
2θ 52.5, rel. 24.2, hkl 1 1 0
2θ 61.0, rel. 7.8, hkl 1 0 8
2θ 64.9, rel. 16.5, hkl 2 0 3
2θ 66.9, rel. 14.7, hkl 1 1 6
2θ 67.5, rel. 8.4, hkl 1 0 9